Record 1
Theoretical powder XRD pattern
Compound: Dy3Al2Hg3
Radiation: Cu Ka
Structure: a GGA-PBE-relaxed structure
Intensities are scaled so that the largest is 100.

Structure:
Cell: 4.5311 11.0970 15.1369 Å, 90.00 90.00 90.00°
Space group Cmcm (No. 63)
Asymmetric unit:
1 Dy 0.0000 0.0816 0.1105 (multiplicity 8)
2 Dy 0.0000 0.3623 0.2500 (multiplicity 4)
3 Al 0.0000 0.2082 0.6077 (multiplicity 8)
4 Hg 0.0000 0.3597 0.7500 (multiplicity 4)
5 Hg 0.0000 0.3767 0.0372 (multiplicity 8)

Top 10 peaks for 2θ from 10° to 90°, by angle:
d 3.226, I 24
d 2.865, I 31
d 2.811, I 100
d 2.774, I 33
d 2.658, I 14
d 2.492, I 36
d 2.284, I 26
d 2.266, I 33
d 2.015, I 17
d 1.755, I 18

---

Record 2
Theoretical powder XRD pattern
Compound: Dy4Al2Hg5
Radiation: Cu Ka
Structure: a GGA-PBE-relaxed structure
Intensities are scaled so that the largest is 100.

Structure:
Cell: 7.8639 3.6721 9.3885 Å, 90.00 92.56 90.00°
Space group P2/m (No. 10)
Asymmetric unit:
1 Dy 0.2071 0.0000 0.1382 (multiplicity 2)
2 Dy 0.2540 0.0000 0.6072 (multiplicity 2)
3 Al 0.0670 0.5000 0.3778 (multiplicity 2)
4 Hg 0.1326 0.5000 0.8697 (multiplicity 2)
5 Hg 0.4172 0.5000 0.3504 (multiplicity 2)
6 Hg 0.5000 0.5000 0.0000 (multiplicity 1)

Top 10 peaks for 2θ from 10° to 90°, by angle:
d 2.950, I 33
d 2.738, I 76
d 2.686, I 100
d 2.600, I 23
d 2.557, I 20
d 2.345, I 23
d 2.331, I 29
d 2.300, I 17
d 1.836, I 23
d 1.559, I 25

---

Record 3
Theoretical powder XRD pattern
Compound: Dy4Al2Hg
Radiation: Cu Ka
Structure: a GGA-PBE-relaxed structure
Intensities are scaled so that the largest is 100.

Structure:
Cell: 5.1325 5.1325 24.8518 Å, 90.00 90.00 120.00°
Space group R-3m (No. 166, hexagonal axes)
Asymmetric unit:
1 Dy 0.0000 0.0000 0.1185 (multiplicity 6)
2 Dy 0.0000 0.0000 0.3708 (multiplicity 6)
3 Al 0.0000 0.0000 0.2490 (multiplicity 6)
4 Hg 0.0000 0.0000 0.5000 (multiplicity 3)

Top 10 peaks for 2θ from 10° to 90°, by angle:
d 4.375, I 16
d 3.615, I 44
d 3.313, I 18
d 2.774, I 15
d 2.566, I 100
d 2.546, I 93
d 1.807, I 34
d 1.482, I 19
d 1.478, I 35
d 1.146, I 16

---

Record 4
Theoretical powder XRD pattern
Compound: Dy3Al3Hg2Ru
Radiation: Cu Ka
Structure: a GGA-PBE-relaxed structure
Intensities are scaled so that the largest is 100.

Structure:
Cell: 7.1472 7.1472 4.3948 Å, 90.00 90.00 120.00°
Space group P-62m (No. 189)
Asymmetric unit:
1 Dy 0.0000 0.6026 0.0000 (multiplicity 3)
2 Al 0.0000 0.2207 0.5000 (multiplicity 3)
3 Hg 0.3333 0.6667 0.5000 (multiplicity 2)
4 Ru 0.0000 0.0000 0.0000 (multiplicity 1)

Top 10 peaks for 2θ from 10° to 90°, by angle:
d 6.190, I 19
d 3.576, I 55
d 2.773, I 100
d 2.530, I 65
d 2.339, I 15
d 2.197, I 25
d 2.064, I 59
d 1.872, I 14
d 1.504, I 24
d 1.352, I 29

---

Record 5
Theoretical powder XRD pattern
Compound: Dy4AlZn2Hg
Radiation: Cu Ka
Structure: a GGA-PBE-relaxed structure
Intensities are scaled so that the largest is 100.

Structure:
Cell: 5.1147 5.1147 25.1489 Å, 90.00 90.00 120.00°
Space group R-3m (No. 166, hexagonal axes)
Asymmetric unit:
1 Dy 0.0000 0.0000 0.1233 (multiplicity 6)
2 Dy 0.0000 0.0000 0.3734 (multiplicity 6)
3 Al 0.0000 0.0000 0.0000 (multiplicity 3)
4 Zn 0.0000 0.0000 0.2519 (multiplicity 6)
5 Hg 0.0000 0.0000 0.5000 (multiplicity 3)

Top 10 peaks for 2θ from 10° to 90°, by angle:
d 8.383, I 6
d 3.621, I 9
d 2.560, I 100
d 1.811, I 18
d 1.481, I 9
d 1.477, I 27
d 1.282, I 6
d 1.279, I 6
d 1.146, I 8
d 1.144, I 8

---

Record 6
Theoretical powder XRD pattern
Compound: Dy4AlZnHg2
Radiation: Cu Ka
Structure: a GGA-PBE-relaxed structure
Intensities are scaled so that the largest is 100.

Structure:
Cell: 5.1850 5.1850 25.4461 Å, 90.00 90.00 120.00°
Space group R-3m (No. 166, hexagonal axes)
Asymmetric unit:
1 Dy 0.0000 0.0000 0.1240 (multiplicity 6)
2 Dy 0.0000 0.0000 0.3741 (multiplicity 6)
3 Al 0.0000 0.0000 0.5000 (multiplicity 3)
4 Zn 0.0000 0.0000 0.0000 (multiplicity 3)
5 Hg 0.0000 0.0000 0.2503 (multiplicity 6)

Top 10 peaks for 2θ from 10° to 90°, by angle:
d 4.236, I 16
d 3.668, I 2
d 2.594, I 100
d 2.212, I 9
d 1.834, I 18
d 1.683, I 4
d 1.498, I 28
d 1.497, I 9
d 1.297, I 12
d 1.160, I 16

---

Record 7
Theoretical powder XRD pattern
Compound: Dy4Ho3Al
Radiation: Cu Ka
Structure: a GGA-PBE-relaxed structure
Intensities are scaled so that the largest is 100.

Structure:
Cell: 3.5232 3.5232 18.9680 Å, 90.00 90.00 90.00°
Space group P4/mmm (No. 123)
Asymmetric unit:
1 Dy 0.0000 0.0000 0.1009 (multiplicity 2)
2 Dy 0.0000 0.0000 0.3672 (multiplicity 2)
3 Ho 0.5000 0.5000 0.2360 (multiplicity 2)
4 Ho 0.5000 0.5000 0.5000 (multiplicity 1)
5 Al 0.5000 0.5000 0.0000 (multiplicity 1)

Top 10 peaks for 2θ from 10° to 90°, by angle:
d 3.078, I 15
d 2.828, I 100
d 2.491, I 41
d 2.371, I 10
d 1.834, I 12
d 1.762, I 15
d 1.718, I 14
d 1.549, I 13
d 1.495, I 29
d 1.163, I 11

---

Record 8
Theoretical powder XRD pattern
Compound: Dy2Ho3Al2
Radiation: Cu Ka
Structure: a GGA-PBE-relaxed structure
Intensities are scaled so that the largest is 100.

Structure:
Cell: 3.5277 3.5277 30.1518 Å, 90.00 90.00 90.00°
Space group I4/mmm (No. 139)
Asymmetric unit:
1 Dy 0.0000 0.0000 0.2090 (multiplicity 4)
2 Ho 0.0000 0.0000 0.3760 (multiplicity 4)
3 Ho 0.0000 0.0000 0.5000 (multiplicity 2)
4 Al 0.0000 0.0000 0.0622 (multiplicity 4)

Top 10 peaks for 2θ from 10° to 90°, by angle:
d 3.504, I 24
d 3.045, I 32
d 2.729, I 100
d 2.494, I 52
d 1.922, I 11
d 1.770, I 12
d 1.764, I 19
d 1.585, I 16
d 1.481, I 31
d 1.179, I 12

---

Record 9
Theoretical powder XRD pattern
Compound: DyHo6Al
Radiation: Cu Ka
Structure: a GGA-PBE-relaxed structure
Intensities are scaled so that the largest is 100.

Structure:
Cell: 9.1100 9.1100 9.9791 Å, 90.00 90.00 120.00°
Space group R-3 (No. 148, hexagonal axes)
Asymmetric unit:
1 Dy 0.0000 0.0000 0.0000 (multiplicity 3)
2 Ho 0.0234 0.2523 0.7155 (multiplicity 18)
3 Al 0.0000 0.0000 0.5000 (multiplicity 3)

Top 10 peaks for 2θ from 10° to 90°, by angle:
d 3.326, I 24
d 3.094, I 19
d 2.857, I 100
d 2.686, I 36
d 2.560, I 59
d 1.913, I 12
d 1.781, I 18
d 1.722, I 18
d 1.562, I 12
d 1.403, I 12

---

Record 10
Theoretical powder XRD pattern
Compound: TbDyHoAl
Radiation: Cu Ka
Structure: a GGA-PBE-relaxed structure
Intensities are scaled so that the largest is 100.

Structure:
Cell: 7.5535 7.5535 7.5535 Å, 90.00 90.00 90.00°
Space group F-43m (No. 216)
Asymmetric unit:
1 Tb 0.0000 0.0000 0.0000 (multiplicity 4)
2 Dy 0.0000 0.0000 0.5000 (multiplicity 4)
3 Ho 0.2500 0.2500 0.7500 (multiplicity 4)
4 Al 0.2500 0.2500 0.2500 (multiplicity 4)

Top 10 peaks for 2θ from 10° to 90°, by angle:
d 4.361, I 16
d 3.777, I 8
d 2.671, I 100
d 2.277, I 9
d 1.888, I 18
d 1.733, I 4
d 1.542, I 38
d 1.335, I 12
d 1.194, I 16
d 1.090, I 4

---

Record 11
Theoretical powder XRD pattern
Compound: DyHoThAl
Radiation: Cu Ka
Structure: a GGA-PBE-relaxed structure
Intensities are scaled so that the largest is 100.

Structure:
Cell: 7.5955 7.5955 7.5955 Å, 90.00 90.00 90.00°
Space group F-43m (No. 216)
Asymmetric unit:
1 Dy 0.0000 0.0000 0.0000 (multiplicity 4)
2 Ho 0.2500 0.2500 0.2500 (multiplicity 4)
3 Th 0.0000 0.0000 0.5000 (multiplicity 4)
4 Al 0.2500 0.2500 0.7500 (multiplicity 4)

Top 10 peaks for 2θ from 10° to 90°, by angle:
d 4.385, I 15
d 3.798, I 14
d 2.685, I 100
d 2.290, I 9
d 1.899, I 18
d 1.698, I 6
d 1.550, I 38
d 1.343, I 12
d 1.201, I 17
d 1.096, I 4

---

Record 12
Theoretical powder XRD pattern
Compound: Dy3Al4In2
Radiation: Cu Ka
Structure: a GGA-PBE-relaxed structure
Intensities are scaled so that the largest is 100.

Structure:
Cell: 10.7564 4.6963 8.8191 Å, 90.00 115.66 90.00°
Space group C2/m (No. 12)
Asymmetric unit:
1 Dy 0.0000 0.0000 0.0000 (multiplicity 2)
2 Dy 0.1651 0.5000 0.6692 (multiplicity 4)
3 Al 0.0463 0.0000 0.3849 (multiplicity 4)
4 Al 0.2340 0.5000 0.0585 (multiplicity 4)
5 In 0.1161 0.5000 0.2800 (multiplicity 4)

Top 10 peaks for 2θ from 10° to 90°, by angle:
d 4.059, I 40
d 2.660, I 100
d 2.650, I 21
d 2.348, I 23
d 2.342, I 45
d 1.760, I 26
d 1.757, I 12
d 1.408, I 34
d 1.404, I 14
d 1.354, I 8